No. 1
This entry pairs a crystal structure of Dy2BeIr with its simulated X-ray powder pattern. Radiation: λ = 1.5418 Å (Cu Kα). Structure: the PBE geometry in Alexandria.
No peak broadening, texture or thermal motion is included.

Cell: 5.597 3.981 8.012 Å, 90.00 108.57 90.00°
Element x y z (fractional)
Dy (0.209, 0.250, 0.427)
Dy (0.283, 0.750, 0.070)
Dy (0.717, 0.250, 0.930)
Dy (0.791, 0.750, 0.573)
Be (0.333, 0.750, 0.723)
Be (0.667, 0.250, 0.277)
Ir (0.155, 0.250, 0.777)
Ir (0.845, 0.750, 0.223)

The 8 most intense peaks (2θ from 5° to 70°), by angle:
| 2θ (°) | I/Imax |
| --- | --- |
| 25.26 | 28 |
| 32.54 | 100 |
| 33.78 | 28 |
| 34.04 | 30 |
| 40.88 | 27 |
| 41.51 | 27 |
| 44.28 | 27 |
| 58.09 | 28 |

---

No. 2
This entry pairs a crystal structure of Pa2Sb2PdN2 with its simulated X-ray powder pattern. Radiation: λ = 1.5418 Å (Cu Kα). Structure: the PBE geometry in Alexandria.
No peak broadening, texture or thermal motion is included.

Cell: 3.775 3.775 13.071 Å, 90.00 90.00 120.00°
Element x y z (fractional)
Pa (0.333, 0.667, 0.113)
Pa (0.667, 0.333, 0.887)
Sb (0.000, 0.000, 0.304)
Sb (0.000, 0.000, 0.696)
Pd (0.000, 0.000, 0.500)
N (0.333, 0.667, 0.934)
N (0.667, 0.333, 0.066)

The 8 most intense peaks (2θ from 5° to 70°), by angle:
| 2θ (°) | I/Imax |
| --- | --- |
| 6.76 | 60 |
| 28.13 | 100 |
| 30.57 | 61 |
| 34.30 | 73 |
| 38.97 | 32 |
| 48.21 | 40 |
| 56.76 | 25 |
| 60.49 | 44 |

---

No. 3
This entry pairs a crystal structure of In5Hg4Pb4 with its simulated X-ray powder pattern. Radiation: λ = 1.5418 Å (Cu Kα). Structure: the PBE geometry in Alexandria.
No peak broadening, texture or thermal motion is included.

Cell: 5.354 8.593 8.616 Å, 85.06 73.32 73.00°
Element x y z (fractional)
In (0.000, 0.000, 0.000)
In (0.314, 0.102, 0.261)
In (0.418, 0.260, 0.898)
In (0.582, 0.740, 0.102)
In (0.686, 0.898, 0.739)
Hg (0.135, 0.096, 0.641)
Hg (0.230, 0.640, 0.905)
Hg (0.770, 0.360, 0.095)
Hg (0.865, 0.904, 0.359)
Pb (0.102, 0.511, 0.292)
Pb (0.388, 0.709, 0.512)
Pb (0.612, 0.291, 0.488)
Pb (0.898, 0.489, 0.708)

The 8 most intense peaks (2θ from 5° to 70°), by angle:
| 2θ (°) | I/Imax |
| --- | --- |
| 30.71 | 17 |
| 32.04 | 100 |
| 32.63 | 49 |
| 32.77 | 47 |
| 33.49 | 54 |
| 39.37 | 24 |
| 39.53 | 24 |
| 58.56 | 18 |

---

No. 4
This entry pairs a crystal structure of La2SmErTm2 with its simulated X-ray powder pattern. Radiation: λ = 1.5418 Å (Cu Kα). Structure: the PBE geometry in Alexandria.
No peak broadening, texture or thermal motion is included.

Cell: 5.746 11.009 6.340 Å, 90.00 90.00 90.00°
Element x y z (fractional)
La (0.000, 0.084, 0.000)
La (0.000, 0.916, 0.500)
La (0.500, 0.252, 0.164)
La (0.500, 0.748, 0.664)
Sm (0.000, 0.255, 0.503)
Sm (0.000, 0.745, 0.003)
Er (0.500, 0.420, 0.666)
Er (0.500, 0.580, 0.166)
Tm (0.000, 0.423, 0.997)
Tm (0.000, 0.577, 0.497)
Tm (0.500, 0.086, 0.667)
Tm (0.500, 0.914, 0.167)

The 8 most intense peaks (2θ from 5° to 70°), by angle:
| 2θ (°) | I/Imax |
| --- | --- |
| 28.11 | 24 |
| 31.13 | 24 |
| 32.22 | 100 |
| 42.44 | 16 |
| 49.79 | 13 |
| 56.08 | 21 |
| 59.87 | 23 |
| 60.49 | 11 |

---

No. 5
This entry pairs a crystal structure of LiLaCeS4 with its simulated X-ray powder pattern. Radiation: λ = 1.5418 Å (Cu Kα). Structure: the PBE geometry in Alexandria.
No peak broadening, texture or thermal motion is included.

Cell: 8.192 8.192 6.563 Å, 90.00 90.00 137.87°
Element x y z (fractional)
Li (0.223, 0.777, 0.750)
Li (0.777, 0.223, 0.250)
La (0.116, 0.884, 0.250)
La (0.884, 0.116, 0.750)
Ce (0.382, 0.618, 0.250)
Ce (0.618, 0.382, 0.750)
S (0.000, 0.500, 0.000)
S (0.000, 0.500, 0.500)
S (0.069, 0.931, 0.750)
S (0.438, 0.562, 0.750)
S (0.500, 0.000, 0.000)
S (0.500, 0.000, 0.500)
S (0.562, 0.438, 0.250)
S (0.931, 0.069, 0.250)

The 8 most intense peaks (2θ from 5° to 70°), by angle:
| 2θ (°) | I/Imax |
| --- | --- |
| 21.09 | 100 |
| 26.83 | 62 |
| 27.18 | 46 |
| 35.80 | 47 |
| 36.07 | 63 |
| 38.60 | 52 |
| 41.19 | 64 |
| 46.45 | 37 |

---

No. 6
This entry pairs a crystal structure of SrTl6Pb2 with its simulated X-ray powder pattern. Radiation: λ = 1.5418 Å (Cu Kα). Structure: the PBE geometry in Alexandria.
No peak broadening, texture or thermal motion is included.

Cell: 10.449 10.449 5.190 Å, 90.00 90.00 90.00°
Element x y z (fractional)
Sr (0.000, 0.000, 0.000)
Sr (0.500, 0.500, 0.500)
Tl (0.007, 0.339, 0.000)
Tl (0.161, 0.507, 0.500)
Tl (0.165, 0.835, 0.500)
Tl (0.335, 0.335, 0.000)
Tl (0.339, 0.007, 0.000)
Tl (0.493, 0.839, 0.500)
Tl (0.507, 0.161, 0.500)
Tl (0.661, 0.993, 0.000)
Tl (0.665, 0.665, 0.000)
Tl (0.835, 0.165, 0.500)
Tl (0.839, 0.493, 0.500)
Tl (0.993, 0.661, 0.000)
Pb (0.185, 0.185, 0.500)
Pb (0.315, 0.685, 0.000)
Pb (0.685, 0.315, 0.000)
Pb (0.815, 0.815, 0.500)

The 8 most intense peaks (2θ from 5° to 70°), by angle:
| 2θ (°) | I/Imax |
| --- | --- |
| 30.92 | 100 |
| 34.56 | 19 |
| 36.48 | 31 |
| 51.13 | 24 |
| 52.55 | 10 |
| 59.68 | 16 |
| 62.23 | 24 |
| 64.43 | 11 |

---

No. 7
This entry pairs a crystal structure of BaPmHg6 with its simulated X-ray powder pattern. Radiation: λ = 1.5418 Å (Cu Kα). Structure: the PBE geometry in Alexandria.
No peak broadening, texture or thermal motion is included.

Cell: 5.301 7.226 5.818 Å, 90.00 90.00 90.00°
Element x y z (fractional)
Ba (0.000, 0.000, 0.000)
Pm (0.500, 0.500, 0.302)
Hg (0.000, 0.274, 0.488)
Hg (0.000, 0.500, 0.982)
Hg (0.000, 0.726, 0.488)
Hg (0.500, 0.000, 0.399)
Hg (0.500, 0.276, 0.820)
Hg (0.500, 0.724, 0.820)

The 8 most intense peaks (2θ from 5° to 70°), by angle:
| 2θ (°) | I/Imax |
| --- | --- |
| 29.09 | 14 |
| 30.74 | 10 |
| 33.76 | 100 |
| 35.19 | 27 |
| 45.20 | 9 |
| 53.64 | 10 |
| 60.46 | 15 |
| 64.93 | 11 |

---

No. 8
This entry pairs a crystal structure of Ga4BiAs3 with its simulated X-ray powder pattern. Radiation: λ = 1.5418 Å (Cu Kα). Structure: the PBE geometry in Alexandria.
No peak broadening, texture or thermal motion is included.

Cell: 5.925 5.925 5.925 Å, 90.00 90.00 90.00°
Element x y z (fractional)
Ga (0.238, 0.238, 0.762)
Ga (0.238, 0.762, 0.238)
Ga (0.762, 0.238, 0.238)
Ga (0.762, 0.762, 0.762)
Bi (0.500, 0.500, 0.500)
As (0.000, 0.000, 0.500)
As (0.000, 0.500, 0.000)
As (0.500, 0.000, 0.000)

The 8 most intense peaks (2θ from 5° to 70°), by angle:
| 2θ (°) | I/Imax |
| --- | --- |
| 14.95 | 10 |
| 21.21 | 14 |
| 26.05 | 100 |
| 33.83 | 12 |
| 43.19 | 74 |
| 51.13 | 47 |
| 62.72 | 12 |
| 69.10 | 18 |

---

No. 9
This entry pairs a crystal structure of LiPuInAu with its simulated X-ray powder pattern. Radiation: λ = 1.5418 Å (Cu Kα). Structure: the PBE geometry in Alexandria.
No peak broadening, texture or thermal motion is included.

Cell: 3.258 3.258 7.781 Å, 90.00 90.00 90.00°
Element x y z (fractional)
Li (0.000, 0.000, 0.000)
Pu (0.000, 0.000, 0.548)
In (0.500, 0.500, 0.233)
Au (0.500, 0.500, 0.825)

The 8 most intense peaks (2θ from 5° to 70°), by angle:
| 2θ (°) | I/Imax |
| --- | --- |
| 11.37 | 42 |
| 29.73 | 65 |
| 34.58 | 22 |
| 35.95 | 100 |
| 39.10 | 48 |
| 53.17 | 27 |
| 66.59 | 18 |
| 68.80 | 31 |

---

No. 10
This entry pairs a crystal structure of K2NaInI6 with its simulated X-ray powder pattern. Radiation: λ = 1.5418 Å (Cu Kα). Structure: the PBE geometry in Alexandria.
No peak broadening, texture or thermal motion is included.

Cell: 8.485 8.485 8.485 Å, 60.13 60.13 60.13°
Element x y z (fractional)
K (0.000, 0.000, 0.000)
K (0.491, 0.491, 0.491)
Na (0.274, 0.274, 0.274)
In (0.781, 0.781, 0.781)
I (0.019, 0.452, 0.633)
I (0.116, 0.921, 0.558)
I (0.452, 0.633, 0.019)
I (0.558, 0.116, 0.921)
I (0.633, 0.019, 0.452)
I (0.921, 0.558, 0.116)

The 8 most intense peaks (2θ from 5° to 70°), by angle:
| 2θ (°) | I/Imax |
| --- | --- |
| 12.76 | 23 |
| 14.75 | 35 |
| 24.58 | 100 |
| 25.71 | 44 |
| 29.75 | 45 |
| 33.38 | 39 |
| 36.63 | 27 |
| 44.61 | 40 |

---

No. 11
This entry pairs a crystal structure of Dy3Y2Ir2 with its simulated X-ray powder pattern. Radiation: λ = 1.5418 Å (Cu Kα). Structure: the PBE geometry in Alexandria.
No peak broadening, texture or thermal motion is included.

Cell: 6.308 6.308 8.841 Å, 114.84 114.84 35.65°
Element x y z (fractional)
Dy (0.000, 0.000, 0.000)
Dy (0.119, 0.119, 0.431)
Dy (0.881, 0.881, 0.569)
Y (0.334, 0.334, 0.193)
Y (0.666, 0.666, 0.807)
Ir (0.324, 0.324, 0.763)
Ir (0.676, 0.676, 0.237)

The 8 most intense peaks (2θ from 5° to 70°), by angle:
| 2θ (°) | I/Imax |
| --- | --- |
| 15.26 | 100 |
| 30.79 | 54 |
| 32.21 | 91 |
| 33.44 | 65 |
| 34.08 | 56 |
| 34.28 | 88 |
| 35.90 | 82 |
| 39.02 | 68 |

---

No. 12
This entry pairs a crystal structure of P3Pt with its simulated X-ray powder pattern. Radiation: λ = 1.5418 Å (Cu Kα). Structure: the PBE geometry in Alexandria.
No peak broadening, texture or thermal motion is included.

Cell: 5.607 9.318 5.643 Å, 90.00 90.00 90.00°
Element x y z (fractional)
P (0.013, 0.115, 0.120)
P (0.013, 0.385, 0.120)
P (0.247, 0.250, 0.889)
P (0.253, 0.750, 0.389)
P (0.487, 0.615, 0.620)
P (0.487, 0.885, 0.620)
P (0.513, 0.115, 0.380)
P (0.513, 0.385, 0.380)
P (0.747, 0.250, 0.611)
P (0.753, 0.750, 0.111)
P (0.987, 0.615, 0.880)
P (0.987, 0.885, 0.880)
Pt (0.150, 0.250, 0.486)
Pt (0.350, 0.750, 0.986)
Pt (0.650, 0.250, 0.014)
Pt (0.850, 0.750, 0.514)

The 8 most intense peaks (2θ from 5° to 70°), by angle:
| 2θ (°) | I/Imax |
| --- | --- |
| 19.05 | 100 |
| 24.33 | 77 |
| 29.53 | 41 |
| 31.71 | 24 |
| 33.37 | 39 |
| 36.71 | 30 |
| 37.25 | 30 |
| 46.70 | 28 |